# 1
This entry pairs a crystal structure of Pa5SnSe4 with its computed X-ray powder pattern. Radiation: Cu Kα (weighted mean of Kα1 and Kα2). Structure: a crystal structure in Alexandria, relaxed with PBE.

Main lines, in order of rising 2θ (2θ from 10° to 90°):
25.8°, I = 30, hkl 1 1 0
27.1°, I = 25, hkl 0 1 5
30.5°, I = 53, hkl 0 2 0
30.7°, I = 100, hkl 1 0 5
42.2°, I = 22, hkl 2 0 0
43.8°, I = 77, hkl 1 2 5
45.5°, I = 15, hkl 0 0 10
53.0°, I = 24, hkl 2 2 0
55.8°, I = 17, hkl 0 2 10
72.2°, I = 18, hkl 1 4 5
72.4°, I = 16, hkl 2 2 10
78.3°, I = 14, hkl 3 2 5

Structural model:
```
data_Pa5SnSe4
_chemical_formula_sum 'Pa10 Sn2 Se8'
_space_group_name_H-M_alt 'I m m m'
_space_group_IT_number 71
_space_group_name_Hall '-I 2 2'
_cell_length_a 4.279
_cell_length_b 5.860
_cell_length_c 19.924
_cell_angle_alpha 90.00
_cell_angle_beta 90.00
_cell_angle_gamma 90.00
loop_
_atom_site_label
_atom_site_fract_x
_atom_site_fract_y
_atom_site_fract_z
Pa1 0.000 0.000 0.000
Pa2 0.000 0.000 0.197
Pa3 0.000 0.000 0.390
Sn1 0.000 0.500 0.000
Se1 0.000 0.500 0.206
Se2 0.000 0.500 0.401
```

# 2
This entry pairs a crystal structure of Sr2Pa2Se7 with its computed X-ray powder pattern. Radiation: Cu Kα (weighted mean of Kα1 and Kα2). Structure: a crystal structure in Alexandria, relaxed with PBE.

Main lines, in order of rising 2θ (2θ from 10° to 90°):
12.3°, I = 48, hkl 0 0 1
17.1°, I = 17, hkl 0 2 0
21.1°, I = 52, hkl 0 2 1
23.1°, I = 81, hkl 2 0 1
31.8°, I = 19, hkl 2 0 2
34.6°, I = 35, hkl 0 4 0
36.3°, I = 100, hkl 2 2 2
37.5°, I = 17, hkl 1 3 2
39.6°, I = 28, hkl 4 0 0
41.6°, I = 20, hkl 0 2 3
42.1°, I = 27, hkl 2 4 1
53.6°, I = 22, hkl 4 4 0

Structural model:
```
data_Sr2Pa2Se7
_chemical_formula_sum 'Sr4 Pa4 Se14'
_space_group_name_H-M_alt 'C m m m'
_space_group_IT_number 65
_space_group_name_Hall '-C 2 2'
_cell_length_a 9.104
_cell_length_b 10.364
_cell_length_c 7.178
_cell_angle_alpha 90.00
_cell_angle_beta 90.00
_cell_angle_gamma 90.00
loop_
_atom_site_label
_atom_site_fract_x
_atom_site_fract_y
_atom_site_fract_z
Sr1 0.249 0.000 0.000
Pa1 0.000 0.225 0.500
Se1 0.000 0.000 0.272
Se2 0.000 0.500 0.500
Se3 0.250 0.250 0.256
```